The following is a theoretical PXRD pattern of Sr2Ag2BiP. It was derived from the GGA-PBE geometry in OQMD, using Cu Kα X-rays.

Cell and atoms:
abc: 4.7200 4.7200 8.5193
angles: 90.00 90.00 120.00
Atoms (fractional coordinates):
Sr: 0.0000 0.0000 0.0000
Sr: 0.0000 0.0000 0.4694
Ag: 0.3333 0.6667 0.7496
Ag: 0.6667 0.3333 0.2388
Bi: 0.6667 0.3333 0.7233
P: 0.3333 0.6667 0.2287

Most intense lines, 10° ≤ 2θ ≤ 90°, by angle:
2θ/deg  I_rel
10.4  23
20.9  18
21.7  15
30.3  100
38.1  59
42.4  13
43.9  16
49.5  25
58.4  30
64.1  23

=====

The following is a theoretical PXRD pattern of Ag2Bi4PbSe8. It was derived from the GGA-PBE geometry in OQMD, using Cu Kα X-rays.

Cell and atoms:
abc: 13.2694 4.2444 15.5188
angles: 90.00 109.02 90.00
Atoms (fractional coordinates):
Ag: 0.0344 0.2500 0.4588
Ag: 0.1200 0.2500 0.0963
Ag: 0.8800 0.7500 0.9037
Ag: 0.9656 0.7500 0.5412
Bi: 0.0662 0.7500 0.2953
Bi: 0.2099 0.7500 0.9104
Bi: 0.4285 0.7500 0.3797
Bi: 0.4582 0.2500 0.1130
Bi: 0.5418 0.7500 0.8870
Bi: 0.5715 0.2500 0.6203
Bi: 0.7901 0.2500 0.0896
Bi: 0.9338 0.2500 0.7047
Pb: 0.2668 0.2500 0.6762
Pb: 0.7332 0.7500 0.3238
Se: 0.0652 0.2500 0.9219
Se: 0.1217 0.7500 0.7131
Se: 0.1576 0.7500 0.4832
Se: 0.1962 0.2500 0.2690
Se: 0.3123 0.7500 0.1134
Se: 0.3684 0.2500 0.8874
Se: 0.3755 0.2500 0.4864
Se: 0.4543 0.7500 0.6970
Se: 0.5457 0.2500 0.3030
Se: 0.6245 0.7500 0.5136
Se: 0.6316 0.7500 0.1126
Se: 0.6877 0.2500 0.8866
Se: 0.8038 0.7500 0.7310
Se: 0.8424 0.2500 0.5168
Se: 0.8783 0.2500 0.2869
Se: 0.9348 0.7500 0.0781

Most intense lines, 10° ≤ 2θ ≤ 90°, by angle:
2θ/deg  I_rel
24.0  28
24.2  48
27.5  29
29.2  100
29.6  87
30.5  50
31.3  31
38.9  33
41.0  29
42.6  49

=====

The following is a theoretical PXRD pattern of AgBiPdSe3. It was derived from the GGA-PBE geometry in OQMD, using Cu Kα X-rays.

Cell and atoms:
abc: 5.0953 8.4372 14.0559
angles: 90.00 90.00 90.00
Atoms (fractional coordinates):
Ag: 0.0490 0.1003 0.4498
Ag: 0.4510 0.8997 0.9498
Ag: 0.5490 0.3997 0.5502
Ag: 0.9510 0.6003 0.0502
Bi: 0.0831 0.1310 0.1388
Bi: 0.4169 0.8690 0.6388
Bi: 0.5831 0.3690 0.8612
Bi: 0.9169 0.6310 0.3612
Pd: 0.0187 0.6370 0.7453
Pd: 0.4813 0.3630 0.2453
Pd: 0.5187 0.8630 0.2547
Pd: 0.9813 0.1370 0.7547
Se: 0.1950 0.1575 0.9142
Se: 0.2296 0.3807 0.7051
Se: 0.2453 0.6246 0.8999
Se: 0.2547 0.3754 0.3999
Se: 0.2704 0.6193 0.2051
Se: 0.3050 0.8425 0.4142
Se: 0.6950 0.3425 0.0858
Se: 0.7296 0.1193 0.2949
Se: 0.7453 0.8754 0.1001
Se: 0.7547 0.1246 0.6001
Se: 0.7704 0.8807 0.7949
Se: 0.8050 0.6575 0.5858

Most intense lines, 10° ≤ 2θ ≤ 90°, by angle:
2θ/deg  I_rel
25.8  47
27.4  100
27.9  37
28.2  36
30.9  27
33.6  30
39.9  21
42.9  33
45.9  48
50.7  21

=====

The following is a theoretical PXRD pattern of AgBiPtSe3. It was derived from the GGA-PBE geometry in OQMD, using Cu Kα X-rays.

Cell and atoms:
abc: 5.0958 8.3948 14.0700
angles: 90.00 90.00 90.00
Atoms (fractional coordinates):
Ag: 0.0518 0.0915 0.4548
Ag: 0.4482 0.9085 0.9548
Ag: 0.5518 0.4085 0.5452
Ag: 0.9482 0.5915 0.0452
Bi: 0.0992 0.1223 0.1441
Bi: 0.4008 0.8777 0.6441
Bi: 0.5992 0.3777 0.8559
Bi: 0.9008 0.6223 0.3559
Pt: 0.0161 0.6447 0.7458
Pt: 0.4839 0.3553 0.2458
Pt: 0.5161 0.8553 0.2542
Pt: 0.9839 0.1447 0.7542
Se: 0.2049 0.1673 0.9118
Se: 0.2313 0.3893 0.7033
Se: 0.2489 0.6330 0.8990
Se: 0.2511 0.3670 0.3990
Se: 0.2687 0.6107 0.2033
Se: 0.2951 0.8327 0.4118
Se: 0.7049 0.3327 0.0882
Se: 0.7313 0.1107 0.2967
Se: 0.7489 0.8670 0.1010
Se: 0.7511 0.1330 0.6010
Se: 0.7687 0.8893 0.7967
Se: 0.7951 0.6673 0.5882

Most intense lines, 10° ≤ 2θ ≤ 90°, by angle:
2θ/deg  I_rel
12.6  31
25.8  56
27.5  100
28.0  33
28.3  33
30.9  25
33.6  28
43.1  28
45.9  46
57.7  19

=====

The following is a theoretical PXRD pattern of AgBiTe3Pt. It was derived from the GGA-PBE geometry in OQMD, using Cu Kα X-rays.

Cell and atoms:
abc: 5.3396 8.5519 14.7737
angles: 90.00 90.00 90.00
Atoms (fractional coordinates):
Ag: 0.0144 0.0037 0.4810
Ag: 0.4856 0.9963 0.9810
Ag: 0.5144 0.4963 0.5190
Ag: 0.9856 0.5037 0.0190
Bi: 0.1723 0.0144 0.1676
Bi: 0.3277 0.9856 0.6676
Bi: 0.6723 0.4856 0.8324
Bi: 0.8277 0.5144 0.3324
Te: 0.2453 0.2604 0.9062
Te: 0.2489 0.2832 0.4047
Te: 0.2490 0.5142 0.1911
Te: 0.2510 0.4858 0.6911
Te: 0.2511 0.7168 0.9047
Te: 0.2547 0.7396 0.4062
Te: 0.7453 0.2396 0.0938
Te: 0.7489 0.2168 0.5953
Te: 0.7490 0.9858 0.8089
Te: 0.7510 0.0142 0.3089
Te: 0.7511 0.7832 0.0953
Te: 0.7547 0.7604 0.5938
Pt: 0.0000 0.2356 0.7503
Pt: 0.0000 0.7356 0.7497
Pt: 0.5000 0.2644 0.2497
Pt: 0.5000 0.7644 0.2503

Most intense lines, 10° ≤ 2θ ≤ 90°, by angle:
2θ/deg  I_rel
12.0  21
24.6  13
26.7  17
27.4  32
29.4  100
40.3  9
41.7  54
42.3  54
52.4  16
60.9  13

=====

The following is a theoretical PXRD pattern of Ag3Bi7S12. It was derived from the GGA-PBE geometry in OQMD, using Cu Kα X-rays.

Cell and atoms:
abc: 7.0200 7.0200 20.4374
angles: 101.46 101.46 33.68
Atoms (fractional coordinates):
Ag: 0.0000 0.0000 0.0000
Ag: 0.2962 0.2962 0.5860
Ag: 0.7038 0.7038 0.4140
Bi: 0.0000 0.0000 0.5000
Bi: 0.0826 0.0826 0.2328
Bi: 0.2372 0.2372 0.9113
Bi: 0.3863 0.3863 0.3288
Bi: 0.6137 0.6137 0.6712
Bi: 0.7628 0.7628 0.0887
Bi: 0.9174 0.9174 0.7672
S: 0.0299 0.0299 0.3682
S: 0.1269 0.1269 0.1112
S: 0.2686 0.2686 0.7079
S: 0.3488 0.3488 0.4676
S: 0.3622 0.3622 0.0284
S: 0.4377 0.4377 0.2045
S: 0.5623 0.5623 0.7955
S: 0.6378 0.6378 0.9716
S: 0.6512 0.6512 0.5324
S: 0.7314 0.7314 0.2921
S: 0.8731 0.8731 0.8888
S: 0.9701 0.9701 0.6318

Most intense lines, 10° ≤ 2θ ≤ 90°, by angle:
2θ/deg  I_rel
23.5  24
24.5  53
25.8  71
26.7  34
27.4  24
30.0  41
30.9  100
31.5  23
44.6  35
45.1  28

=====

Number 4 is which compound?
AgBiPtSe3

=====

Please write out number 2 again, unchanged.
The following is a theoretical PXRD pattern of Ag2Bi4PbSe8. It was derived from the GGA-PBE geometry in OQMD, using Cu Kα X-rays.

Cell and atoms:
abc: 13.2694 4.2444 15.5188
angles: 90.00 109.02 90.00
Atoms (fractional coordinates):
Ag: 0.0344 0.2500 0.4588
Ag: 0.1200 0.2500 0.0963
Ag: 0.8800 0.7500 0.9037
Ag: 0.9656 0.7500 0.5412
Bi: 0.0662 0.7500 0.2953
Bi: 0.2099 0.7500 0.9104
Bi: 0.4285 0.7500 0.3797
Bi: 0.4582 0.2500 0.1130
Bi: 0.5418 0.7500 0.8870
Bi: 0.5715 0.2500 0.6203
Bi: 0.7901 0.2500 0.0896
Bi: 0.9338 0.2500 0.7047
Pb: 0.2668 0.2500 0.6762
Pb: 0.7332 0.7500 0.3238
Se: 0.0652 0.2500 0.9219
Se: 0.1217 0.7500 0.7131
Se: 0.1576 0.7500 0.4832
Se: 0.1962 0.2500 0.2690
Se: 0.3123 0.7500 0.1134
Se: 0.3684 0.2500 0.8874
Se: 0.3755 0.2500 0.4864
Se: 0.4543 0.7500 0.6970
Se: 0.5457 0.2500 0.3030
Se: 0.6245 0.7500 0.5136
Se: 0.6316 0.7500 0.1126
Se: 0.6877 0.2500 0.8866
Se: 0.8038 0.7500 0.7310
Se: 0.8424 0.2500 0.5168
Se: 0.8783 0.2500 0.2869
Se: 0.9348 0.7500 0.0781

Most intense lines, 10° ≤ 2θ ≤ 90°, by angle:
2θ/deg  I_rel
24.0  28
24.2  48
27.5  29
29.2  100
29.6  87
30.5  50
31.3  31
38.9  33
41.0  29
42.6  49